No. 1
K2CoH2S2O10: theoretical PXRD pattern (Cu Ka), based on a crystal structure in the Materials Project, relaxed with PBE+U.
Peak positions follow from Bragg's law for the DFT cell and can differ from measured ones.

Main lines, sorted by position (10 to 90 degrees two-theta):
- 11.3°, d = 7.807 Å, I = 100
- 14.1°, d = 6.275 Å, I = 40
- 22.2°, d = 4.007 Å, I = 41
- 22.6°, d = 3.933 Å, I = 27
- 22.8°, d = 3.904 Å, I = 18
- 26.6°, d = 3.351 Å, I = 36
- 27.1°, d = 3.286 Å, I = 33
- 29.9°, d = 2.989 Å, I = 10
- 30.2°, d = 2.955 Å, I = 14
- 37.3°, d = 2.412 Å, I = 22

Structure:
```
data_K2CoH2S2O10
_chemical_formula_sum 'K2 Co1 H2 S2 O10'
_symmetry_space_group_name_H-M 'P 1'
_symmetry_Int_Tables_number 1
_cell_length_a 4.8559
_cell_length_b 7.6141
_cell_length_c 8.3147
_cell_angle_alpha 106.31
_cell_angle_beta 95.96
_cell_angle_gamma 107.70
loop_
_symmetry_equiv_pos_as_xyz
'x,y,z'
loop_
_atom_site_label
_atom_site_type_symbol
_atom_site_fract_x
_atom_site_fract_y
_atom_site_fract_z
K1 K 0.2209 0.3278 0.2507
K2 K 0.7791 0.6722 0.7493
Co1 Co 0.5000 0.0000 0.5000
H1 H 0.0230 0.9809 0.0342
H2 H 0.9770 0.0191 0.9658
S1 S 0.1102 0.3175 0.6827
S2 S 0.8898 0.6825 0.3173
O1 O 0.0680 0.7889 0.1959
O2 O 0.1093 0.7322 0.4752
O3 O 0.2064 0.5223 0.7908
O4 O 0.2522 0.9931 0.3007
O5 O 0.3630 0.2543 0.6501
O6 O 0.6370 0.7457 0.3499
O7 O 0.7478 0.0069 0.6993
O8 O 0.7936 0.4777 0.2092
O9 O 0.8907 0.2678 0.5248
O10 O 0.9320 0.2111 0.8041
```

***

No. 2
K2Co3H6S3O16: theoretical PXRD pattern (Cu Ka), based on a crystal structure in the Materials Project, relaxed with PBE+U.
Peak positions follow from Bragg's law for the DFT cell and can differ from measured ones.

Main lines, sorted by position (10 to 90 degrees two-theta):
- 12.5°, d = 7.078 Å, I = 43
- 15.4°, d = 5.760 Å, I = 63
- 21.9°, d = 4.060 Å, I = 47
- 26.8°, d = 3.331 Å, I = 27
- 27.4°, d = 3.256 Å, I = 40
- 28.9°, d = 3.094 Å, I = 46
- 29.4°, d = 3.041 Å, I = 100
- 29.8°, d = 2.994 Å, I = 69
- 32.9°, d = 2.722 Å, I = 75
- 44.3°, d = 2.045 Å, I = 30

Structure:
```
data_K2Co3H6S3O16
_chemical_formula_sum 'K4 Co6 H12 S6 O32'
_symmetry_space_group_name_H-M 'P 1'
_symmetry_Int_Tables_number 1
_cell_length_a 9.7742
_cell_length_b 9.7742
_cell_length_c 9.9140
_cell_angle_alpha 90.00
_cell_angle_beta 90.00
_cell_angle_gamma 46.40
loop_
_symmetry_equiv_pos_as_xyz
'x,y,z'
loop_
_atom_site_label
_atom_site_type_symbol
_atom_site_fract_x
_atom_site_fract_y
_atom_site_fract_z
K1 K 0.1506 0.2349 0.0000
K2 K 0.2349 0.1506 0.5000
K3 K 0.7651 0.8494 0.0000
K4 K 0.8494 0.7651 0.5000
Co1 Co 0.1981 0.8019 0.2406
Co2 Co 0.3812 0.4479 0.9555
Co3 Co 0.4479 0.3812 0.4555
Co4 Co 0.5521 0.6188 0.9555
Co5 Co 0.6188 0.5521 0.4555
Co6 Co 0.8019 0.1981 0.7406
H1 H 0.0950 0.7361 0.7942
H2 H 0.0993 0.5708 0.7908
H3 H 0.2032 0.7968 0.9928
H4 H 0.2639 0.9050 0.7942
H5 H 0.4292 0.9007 0.7908
H6 H 0.4757 0.5243 0.7410
H7 H 0.5243 0.4757 0.2410
H8 H 0.5708 0.0993 0.2908
H9 H 0.7361 0.0950 0.2942
H10 H 0.7968 0.2032 0.4928
H11 H 0.9007 0.4292 0.2908
H12 H 0.9050 0.2639 0.2942
S1 S 0.1313 0.5190 0.2261
S2 S 0.1834 0.8166 0.5600
S3 S 0.4810 0.8687 0.2261
S4 S 0.5190 0.1313 0.7261
S5 S 0.8166 0.1834 0.0600
S6 S 0.8687 0.4810 0.7261
O1 O 0.0248 0.4719 0.7047
O2 O 0.0487 0.7178 0.2332
O3 O 0.0639 0.9361 0.4414
O4 O 0.0801 0.9199 0.6886
O5 O 0.1157 0.6402 0.8508
O6 O 0.2256 0.6383 0.5599
O7 O 0.2276 0.4207 0.3568
O8 O 0.2660 0.4150 0.1118
O9 O 0.2822 0.9513 0.2332
O10 O 0.3133 0.6867 0.0424
O11 O 0.3598 0.8843 0.8508
O12 O 0.3617 0.7744 0.5599
O13 O 0.4150 0.2660 0.6118
O14 O 0.4207 0.2276 0.8568
O15 O 0.4509 0.5491 0.3212
O16 O 0.4719 0.0248 0.2047
O17 O 0.5281 0.9752 0.7047
O18 O 0.5491 0.4509 0.8212
O19 O 0.5793 0.7724 0.3568
O20 O 0.5850 0.7340 0.1118
O21 O 0.6383 0.2256 0.0599
O22 O 0.6402 0.1157 0.3508
O23 O 0.6867 0.3133 0.5424
O24 O 0.7178 0.0487 0.7332
O25 O 0.7340 0.5850 0.6118
O26 O 0.7724 0.5793 0.8568
O27 O 0.7744 0.3617 0.0599
O28 O 0.8843 0.3598 0.3508
O29 O 0.9199 0.0801 0.1886
O30 O 0.9361 0.0639 0.9414
O31 O 0.9513 0.2822 0.7332
O32 O 0.9752 0.5281 0.2047
```

***

No. 3
K2CoH2S2O10: theoretical PXRD pattern (Cu Ka), based on a crystal structure in the Materials Project, relaxed with PBE+U.
Peak positions follow from Bragg's law for the DFT cell and can differ from measured ones.

Main lines, sorted by position (10 to 90 degrees two-theta):
- 12.8°, d = 6.924 Å, I = 76
- 15.9°, d = 5.588 Å, I = 78
- 23.9°, d = 3.725 Å, I = 19
- 24.2°, d = 3.681 Å, I = 24
- 24.9°, d = 3.574 Å, I = 52
- 25.7°, d = 3.462 Å, I = 23
- 26.2°, d = 3.399 Å, I = 100
- 29.8°, d = 2.999 Å, I = 54
- 33.7°, d = 2.660 Å, I = 19
- 34.5°, d = 2.599 Å, I = 36

Structure:
```
data_K2CoH2S2O10
_chemical_formula_sum 'K2 Co1 H2 S2 O10'
_symmetry_space_group_name_H-M 'P 1'
_symmetry_Int_Tables_number 1
_cell_length_a 5.2728
_cell_length_b 6.6129
_cell_length_c 7.4097
_cell_angle_alpha 107.58
_cell_angle_beta 96.31
_cell_angle_gamma 104.05
loop_
_symmetry_equiv_pos_as_xyz
'x,y,z'
loop_
_atom_site_label
_atom_site_type_symbol
_atom_site_fract_x
_atom_site_fract_y
_atom_site_fract_z
K1 K 0.2026 0.3225 0.2265
K2 K 0.7974 0.6775 0.7735
Co1 Co 0.5000 0.0000 0.5000
H1 H 0.3978 0.0389 0.7984
H2 H 0.6022 0.9611 0.2016
S1 S 0.1471 0.2887 0.7171
S2 S 0.8529 0.7113 0.2829
O1 O 0.1110 0.7556 0.4145
O2 O 0.1323 0.1353 0.8284
O3 O 0.2396 0.5223 0.8411
O4 O 0.3550 0.2538 0.5866
O5 O 0.4737 0.0302 0.2688
O6 O 0.5263 0.9698 0.7312
O7 O 0.6450 0.7462 0.4134
O8 O 0.7604 0.4777 0.1589
O9 O 0.8677 0.8647 0.1716
O10 O 0.8890 0.2444 0.5855
```

***

No. 4
K2CoH4Se2O10: theoretical PXRD pattern (Cu Ka), based on a crystal structure in the Materials Project, relaxed with PBE+U.
Peak positions follow from Bragg's law for the DFT cell and can differ from measured ones.

Main lines, sorted by position (10 to 90 degrees two-theta):
- 15.2°, d = 5.845 Å, I = 23
- 18.6°, d = 4.766 Å, I = 61
- 23.5°, d = 3.786 Å, I = 100
- 23.7°, d = 3.751 Å, I = 57
- 24.3°, d = 3.666 Å, I = 25
- 27.4°, d = 3.260 Å, I = 66
- 28.6°, d = 3.123 Å, I = 28
- 29.7°, d = 3.011 Å, I = 23
- 33.6°, d = 2.670 Å, I = 33
- 39.0°, d = 2.310 Å, I = 22

Structure:
```
data_K2CoH4Se2O10
_chemical_formula_sum 'K2 Co1 H4 Se2 O10'
_symmetry_space_group_name_H-M 'P 1'
_symmetry_Int_Tables_number 1
_cell_length_a 5.5994
_cell_length_b 6.6731
_cell_length_c 7.6749
_cell_angle_alpha 111.86
_cell_angle_beta 96.26
_cell_angle_gamma 105.29
loop_
_symmetry_equiv_pos_as_xyz
'x,y,z'
loop_
_atom_site_label
_atom_site_type_symbol
_atom_site_fract_x
_atom_site_fract_y
_atom_site_fract_z
K1 K 0.1790 0.2575 0.2828
K2 K 0.8210 0.7425 0.7172
Co1 Co 0.5000 0.0000 0.0000
H1 H 0.3682 0.6253 0.8392
H2 H 0.4825 0.6898 0.1350
H3 H 0.5175 0.3102 0.8650
H4 H 0.6318 0.3747 0.1608
Se1 Se 0.1931 0.7721 0.3606
Se2 Se 0.8069 0.2279 0.6394
O1 O 0.0794 0.3836 0.7376
O2 O 0.2289 0.9095 0.1436
O3 O 0.2473 0.9216 0.6376
O4 O 0.3708 0.6620 0.3935
O5 O 0.4933 0.2780 0.0256
O6 O 0.5067 0.7220 0.9744
O7 O 0.6292 0.3380 0.6065
O8 O 0.7527 0.0784 0.3624
O9 O 0.7711 0.0905 0.8564
O10 O 0.9206 0.6164 0.2624
```